[1]
# PrCuNi4
Theoretical powder diffractogram, Cu Kα. Input: the GGA-PBE geometry in Alexandria.
Kinematic intensities with the Lorentz-polarization factor, no thermal factor.

Structural model:
Cell lengths 6.9985, 6.9985, 6.9985 Å; angles 90.00, 90.00, 90.00 degrees
Space group F-43m (No. 216)
Asymmetric unit:
Pr 0.0000 0.0000 0.0000 (multiplicity 4)
Cu 0.2500 0.2500 0.7500 (multiplicity 4)
Ni 0.1236 0.1236 0.3764 (multiplicity 16)

Principal peaks in the range 2θ from 10° to 80°, by intensity:
| index | d/Å | 2θ (°) | I_rel |
| --- | --- | --- | --- |
| 3 1 1 | 2.110 | 42.86 | 100 |
| 2 2 0 | 2.474 | 36.31 | 44 |
| 5 1 1 | 1.347 | 69.83 | 29 |
| 2 2 2 | 2.020 | 44.86 | 26 |
| 4 4 0 | 1.237 | 77.09 | 22 |
| 4 2 2 | 1.429 | 65.32 | 15 |
| 2 0 0 | 3.499 | 25.45 | 7 |
| 1 1 1 | 4.041 | 22.00 | 6 |
| 4 2 0 | 1.565 | 59.03 | 2 |
| 3 3 1 | 1.606 | 57.39 | 2 |

[2]
# Pm7PrSm12
Theoretical powder diffractogram, Cu Kα. Input: the GGA-PBE geometry in Alexandria.
Kinematic intensities with the Lorentz-polarization factor, no thermal factor.

Structural model:
Cell lengths 13.0462, 13.0462, 14.1350 Å; angles 90.00, 90.00, 120.00 degrees
Space group R-3 (No. 148, hexagonal axes)
Asymmetric unit:
Pm 0.0000 0.0000 0.0000 (multiplicity 3)
Pm 0.0665 0.2020 0.3498 (multiplicity 18)
Pr 0.0000 0.0000 0.5000 (multiplicity 3)
Sm 0.0030 0.5690 0.7471 (multiplicity 18)
Sm 0.0670 0.8681 0.8436 (multiplicity 18)

Principal peaks in the range 2θ from 10° to 80°, by intensity:
| index | d/Å | 2θ (°) | I_rel |
| --- | --- | --- | --- |
| 3 1 2 | 2.865 | 31.22 | 100 |
| 1 3 1 | 3.059 | 29.19 | 67 |
| 0 2 4 | 2.996 | 29.82 | 44 |
| 2 0 8 | 1.688 | 54.35 | 25 |
| 3 -2 5 | 2.357 | 38.18 | 21 |
| 1 0 4 | 3.373 | 26.43 | 20 |
| 5 -1 3 | 2.184 | 41.33 | 20 |
| 4 -3 4 | 2.345 | 38.39 | 15 |
| 2 5 0 | 1.809 | 50.44 | 15 |
| 3 3 6 | 1.598 | 57.70 | 14 |

[3]
# Tb7PrAl4
Theoretical powder diffractogram, Cu Kα. Input: the GGA-PBE geometry in Alexandria.
Kinematic intensities with the Lorentz-polarization factor, no thermal factor.

Structural model:
Cell lengths 13.9289, 5.5453, 10.4842 Å; angles 90.00, 124.46, 90.00 degrees
Space group C2/m (No. 12)
Asymmetric unit:
Tb 0.0000 0.0000 0.0000 (multiplicity 2)
Tb 0.0659 0.5000 0.3902 (multiplicity 4)
Tb 0.2018 0.0000 0.6437 (multiplicity 4)
Tb 0.2104 0.5000 0.8768 (multiplicity 4)
Pr 0.0000 0.5000 0.0000 (multiplicity 2)
Al 0.0534 0.0000 0.7616 (multiplicity 4)
Al 0.1770 0.0000 0.3316 (multiplicity 4)

Principal peaks in the range 2θ from 10° to 80°, by intensity:
| index | d/Å | 2θ (°) | I_rel |
| --- | --- | --- | --- |
| 0 2 0 | 2.774 | 32.27 | 100 |
| 1 1 2 | 2.931 | 30.50 | 68 |
| 3 1 -3 | 2.904 | 30.79 | 61 |
| 4 0 -1 | 3.350 | 26.61 | 60 |
| 1 1 -2 | 3.757 | 23.68 | 59 |
| 4 0 -3 | 3.087 | 28.93 | 49 |
| 5 1 -1 | 2.368 | 38.00 | 39 |
| 4 2 -1 | 2.136 | 42.31 | 37 |
| 3 1 1 | 2.596 | 34.55 | 35 |
| 2 0 -5 | 1.996 | 45.43 | 34 |

[4]
# Sr2NdRe2N6
Theoretical powder diffractogram, Cu Kα. Input: the GGA-PBE geometry in Alexandria.
Kinematic intensities with the Lorentz-polarization factor, no thermal factor.

Structural model:
Cell lengths 6.1974, 6.1974, 18.1308 Å; angles 90.00, 90.00, 120.00 degrees
Space group R-3m (No. 166, hexagonal axes)
Asymmetric unit:
Sr 0.0000 0.0000 0.2054 (multiplicity 6)
Nd 0.0000 0.0000 0.0000 (multiplicity 3)
Re 0.0000 0.0000 0.4191 (multiplicity 6)
N 0.0016 0.5008 0.7582 (multiplicity 18)

Principal peaks in the range 2θ from 10° to 80°, by intensity:
| index | d/Å | 2θ (°) | I_rel |
| --- | --- | --- | --- |
| 1 1 0 | 3.099 | 28.81 | 100 |
| 0 1 5 | 3.005 | 29.73 | 80 |
| 1 2 5 | 1.770 | 51.63 | 35 |
| 2 0 5 | 2.157 | 41.88 | 35 |
| 0 1 2 | 4.618 | 19.22 | 29 |
| 3 0 0 | 1.789 | 51.05 | 21 |
| 3 1 5 | 1.377 | 68.07 | 18 |
| 2 2 0 | 1.549 | 59.68 | 17 |
| 1 0 1 | 5.146 | 17.23 | 12 |
| 1 0 7 | 2.333 | 38.60 | 11 |

[5]
# Sm8ZnIn2
Theoretical powder diffractogram, Cu Kα. Input: the GGA-PBE geometry in Alexandria.
Kinematic intensities with the Lorentz-polarization factor, no thermal factor.

Structural model:
Cell lengths 18.9817, 5.2930, 6.8600 Å; angles 90.00, 104.40, 90.00 degrees
Space group C2/m (No. 12)
Asymmetric unit:
Sm 0.0141 0.0000 0.2728 (multiplicity 4)
Sm 0.0927 0.5000 0.9619 (multiplicity 4)
Sm 0.1533 0.5000 0.4730 (multiplicity 4)
Sm 0.2059 0.0000 0.7946 (multiplicity 4)
Zn 0.0000 0.5000 0.5000 (multiplicity 2)
In 0.1827 0.0000 0.2401 (multiplicity 4)

Principal peaks in the range 2θ from 10° to 80°, by intensity:
| index | d/Å | 2θ (°) | I_rel |
| --- | --- | --- | --- |
| 5 1 0 | 3.020 | 29.58 | 100 |
| 0 2 0 | 2.646 | 33.87 | 87 |
| 1 1 -2 | 2.873 | 31.13 | 75 |
| 1 1 2 | 2.698 | 33.21 | 70 |
| 4 0 -2 | 3.085 | 28.94 | 46 |
| 3 1 1 | 3.208 | 27.81 | 37 |
| 3 1 -2 | 2.790 | 32.08 | 34 |
| 5 1 -2 | 2.504 | 35.87 | 32 |
| 4 2 -2 | 2.009 | 45.14 | 27 |
| 0 2 4 | 1.407 | 66.46 | 23 |

[6]
# MnAs
Theoretical powder diffractogram, Cu Kα. Input: the GGA-PBE geometry in Alexandria.
Kinematic intensities with the Lorentz-polarization factor, no thermal factor.

Structural model:
Cell lengths 3.2803, 8.4410, 4.5174 Å; angles 90.00, 90.00, 90.00 degrees
Space group Cmcm (No. 63)
Asymmetric unit:
Mn 0.0000 0.2126 0.2500 (multiplicity 4)
As 0.0000 0.0893 0.7500 (multiplicity 4)

Principal peaks in the range 2θ from 10° to 80°, by intensity:
| index | d/Å | 2θ (°) | I_rel |
| --- | --- | --- | --- |
| 1 3 1 | 1.931 | 47.07 | 100 |
| 1 1 0 | 3.058 | 29.21 | 84 |
| 0 0 2 | 2.259 | 39.91 | 51 |
| 0 4 1 | 1.912 | 47.56 | 38 |
| 1 1 2 | 1.817 | 50.22 | 36 |
| 0 2 1 | 3.084 | 28.95 | 27 |
| 1 3 3 | 1.231 | 77.57 | 22 |
| 2 0 0 | 1.640 | 56.07 | 18 |
| 2 4 1 | 1.245 | 76.53 | 17 |
| 2 0 2 | 1.327 | 71.02 | 17 |

[7]
# HoNi6Sn6
Theoretical powder diffractogram, Cu Kα. Input: the GGA-PBE geometry in Alexandria.
Kinematic intensities with the Lorentz-polarization factor, no thermal factor.

Structural model:
Cell lengths 5.4530, 8.6466, 9.3900 Å; angles 90.00, 90.00, 90.00 degrees
Space group Immm (No. 71)
Asymmetric unit:
Ho 0.0000 0.0000 0.0000 (multiplicity 2)
Ni 0.0000 0.2496 0.5000 (multiplicity 4)
Ni 0.2500 0.2500 0.2500 (multiplicity 8)
Sn 0.0000 0.0000 0.3353 (multiplicity 4)
Sn 0.0000 0.3362 0.0000 (multiplicity 4)
Sn 0.0000 0.5000 0.3324 (multiplicity 4)

Principal peaks in the range 2θ from 10° to 80°, by intensity:
| index | d/Å | 2θ (°) | I_rel |
| --- | --- | --- | --- |
| 1 0 3 | 2.715 | 33.00 | 100 |
| 1 2 3 | 2.299 | 39.19 | 96 |
| 2 2 2 | 2.070 | 43.73 | 54 |
| 2 6 0 | 1.273 | 74.53 | 54 |
| 2 0 0 | 2.726 | 32.85 | 51 |
| 2 2 0 | 2.306 | 39.06 | 49 |
| 0 4 0 | 2.162 | 41.79 | 37 |
| 2 0 2 | 2.358 | 38.17 | 36 |
| 1 3 2 | 2.240 | 40.27 | 34 |
| 2 0 6 | 1.357 | 69.22 | 33 |

[8]
# CeSe2
Theoretical powder diffractogram, Cu Kα. Input: the GGA-PBE geometry in Alexandria.
Kinematic intensities with the Lorentz-polarization factor, no thermal factor.

Structural model:
Cell lengths 5.5051, 5.5051, 7.8361 Å; angles 90.00, 90.00, 120.00 degrees
Space group P6_222 (No. 180)
Asymmetric unit:
Ce 0.0000 0.5000 0.1667 (multiplicity 3)
Se 0.1730 0.3461 0.5000 (multiplicity 6)

Principal peaks in the range 2θ from 10° to 80°, by intensity:
| index | d/Å | 2θ (°) | I_rel |
| --- | --- | --- | --- |
| 1 1 1 | 2.597 | 34.54 | 100 |
| 1 1 2 | 2.252 | 40.03 | 66 |
| 0 0 3 | 2.612 | 34.33 | 38 |
| 1 1 4 | 1.596 | 57.76 | 22 |
| 3 0 1 | 1.557 | 59.34 | 20 |
| 2 2 3 | 1.218 | 78.57 | 20 |
| 3 0 2 | 1.473 | 63.13 | 17 |
| 2 2 0 | 1.376 | 68.13 | 15 |
| 1 1 0 | 2.753 | 32.53 | 15 |
| 1 1 5 | 1.362 | 68.95 | 13 |

[9]
# NdB2OsRu
Theoretical powder diffractogram, Cu Kα. Input: the GGA-PBE geometry in Alexandria.
Kinematic intensities with the Lorentz-polarization factor, no thermal factor.

Structural model:
Cell lengths 4.0307, 4.0307, 9.7883 Å; angles 90.00, 90.00, 90.00 degrees
Space group I-4m2 (No. 119)
Asymmetric unit:
Nd 0.0000 0.0000 0.0000 (multiplicity 2)
B 0.0000 0.0000 0.3179 (multiplicity 4)
Os 0.0000 0.5000 0.2500 (multiplicity 2)
Ru 0.0000 0.5000 0.7500 (multiplicity 2)

Principal peaks in the range 2θ from 10° to 80°, by intensity:
| index | d/Å | 2θ (°) | I_rel |
| --- | --- | --- | --- |
| 1 1 2 | 2.463 | 36.48 | 100 |
| 1 0 1 | 3.727 | 23.87 | 42 |
| 2 0 0 | 2.015 | 44.98 | 31 |
| 0 0 4 | 2.447 | 36.73 | 26 |
| 2 0 4 | 1.556 | 59.41 | 25 |
| 3 1 2 | 1.233 | 77.36 | 23 |
| 0 0 2 | 4.894 | 18.13 | 20 |
| 1 0 3 | 2.536 | 35.39 | 20 |
| 1 1 6 | 1.416 | 65.98 | 20 |
| 2 2 4 | 1.231 | 77.51 | 12 |

[10]
# BeV2B2
Theoretical powder diffractogram, Cu Kα. Input: the GGA-PBE geometry in Alexandria.
Kinematic intensities with the Lorentz-polarization factor, no thermal factor.

Structural model:
Cell lengths 2.9368, 10.0534, 3.0526 Å; angles 90.00, 90.00, 90.00 degrees
Space group Cmmm (No. 65)
Asymmetric unit:
Be 0.0000 0.0000 0.0000 (multiplicity 2)
V 0.0000 0.3677 0.5000 (multiplicity 4)
B 0.0000 0.2019 0.0000 (multiplicity 4)

Principal peaks in the range 2θ from 10° to 80°, by intensity:
| index | d/Å | 2θ (°) | I_rel |
| --- | --- | --- | --- |
| 1 1 1 | 2.071 | 43.71 | 100 |
| 0 4 1 | 1.940 | 46.82 | 80 |
| 0 0 1 | 3.053 | 29.26 | 78 |
| 1 3 1 | 1.789 | 51.04 | 73 |
| 1 1 0 | 2.819 | 31.74 | 68 |
| 0 4 0 | 2.513 | 35.72 | 57 |
| 1 3 0 | 2.209 | 40.86 | 56 |
| 0 8 0 | 1.256 | 75.73 | 21 |
| 0 0 2 | 1.526 | 60.67 | 20 |
| 1 5 0 | 1.659 | 55.38 | 20 |

[11]
# HgBiCl3
Theoretical powder diffractogram, Cu Kα. Input: the GGA-PBE geometry in Alexandria.
Kinematic intensities with the Lorentz-polarization factor, no thermal factor.

Structural model:
Cell lengths 6.9991, 7.0565, 7.9889 Å; angles 110.50, 91.12, 101.19 degrees
Space group P1 (No. 1)
Asymmetric unit:
Hg 0.0000 0.0000 0.0000 (multiplicity 1)
Hg 0.1683 0.7775 0.1800 (multiplicity 1)
Bi 0.5077 0.4357 0.5380 (multiplicity 1)
Bi 0.8069 0.0537 0.6930 (multiplicity 1)
Cl 0.1730 0.2240 0.6330 (multiplicity 1)
Cl 0.3276 0.4204 0.2474 (multiplicity 1)
Cl 0.4614 0.8372 0.7495 (multiplicity 1)
Cl 0.6339 0.0874 0.3670 (multiplicity 1)
Cl 0.7124 0.4149 0.8596 (multiplicity 1)
Cl 0.8503 0.6487 0.4833 (multiplicity 1)

Principal peaks in the range 2θ from 10° to 80°, by intensity:
| index | d/Å | 2θ (°) | I_rel |
| --- | --- | --- | --- |
| 1 0 -1 | 5.293 | 16.75 | 100 |
| 1 1 0 | 4.259 | 20.86 | 51 |
| 0 1 1 | 4.187 | 21.22 | 37 |
| 2 1 -1 | 2.833 | 31.58 | 36 |
| -1 2 1 | 2.649 | 33.84 | 24 |
| 1 -1 2 | 3.425 | 26.01 | 21 |
| 1 -1 3 | 2.467 | 36.41 | 20 |
| 1 -2 0 | 3.195 | 27.92 | 19 |
| 1 -1 1 | 4.855 | 18.27 | 17 |
| 1 -3 2 | 2.249 | 40.10 | 16 |

[12]
# BaPm4Te6
Theoretical powder diffractogram, Cu Kα. Input: the GGA-PBE geometry in Alexandria.
Kinematic intensities with the Lorentz-polarization factor, no thermal factor.

Structural model:
Cell lengths 4.5273, 14.7250, 23.2604 Å; angles 90.00, 90.00, 90.00 degrees
Space group Cmcm (No. 63)
Asymmetric unit:
Ba 0.0000 0.1611 0.2500 (multiplicity 4)
Pm 0.0000 0.0917 0.6255 (multiplicity 8)
Pm 0.0000 0.3604 0.5376 (multiplicity 8)
Te 0.0000 0.0000 0.0000 (multiplicity 4)
Te 0.0000 0.1630 0.7500 (multiplicity 4)
Te 0.0000 0.2674 0.0883 (multiplicity 8)
Te 0.0000 0.4544 0.6592 (multiplicity 8)

Principal peaks in the range 2θ from 10° to 80°, by intensity:
| index | d/Å | 2θ (°) | I_rel |
| --- | --- | --- | --- |
| 1 3 2 | 3.199 | 27.89 | 100 |
| 2 0 0 | 2.263 | 39.84 | 71 |
| 1 3 1 | 3.294 | 27.07 | 57 |
| 1 3 3 | 3.058 | 29.20 | 56 |
| 0 2 6 | 3.430 | 25.98 | 53 |
| 1 1 8 | 2.413 | 37.26 | 34 |
| 1 5 4 | 2.272 | 39.66 | 33 |
| 0 2 7 | 3.029 | 29.49 | 30 |
| 1 5 5 | 2.181 | 41.41 | 26 |
| 1 1 9 | 2.219 | 40.66 | 24 |

[13]
# Pm2Ag4Pd3
Theoretical powder diffractogram, Cu Kα. Input: the GGA-PBE geometry in Alexandria.
Kinematic intensities with the Lorentz-polarization factor, no thermal factor.

Structural model:
Cell lengths 10.0898, 4.2891, 9.0348 Å; angles 90.00, 114.64, 90.00 degrees
Space group C2/m (No. 12)
Asymmetric unit:
Pm 0.1704 0.0000 0.2354 (multiplicity 4)
Ag 0.0041 0.5000 0.3408 (multiplicity 4)
Ag 0.1682 0.0000 0.8886 (multiplicity 4)
Pd 0.0000 0.5000 0.0000 (multiplicity 2)
Pd 0.1552 0.0000 0.5545 (multiplicity 4)

Principal peaks in the range 2θ from 10° to 80°, by intensity:
| index | d/Å | 2θ (°) | I_rel |
| --- | --- | --- | --- |
| 3 1 0 | 2.489 | 36.08 | 100 |
| 1 1 -3 | 2.451 | 36.67 | 95 |
| 4 0 -3 | 2.289 | 39.36 | 39 |
| 0 2 0 | 2.145 | 42.14 | 33 |
| 2 0 3 | 2.010 | 45.10 | 26 |
| 4 2 -3 | 1.565 | 59.02 | 23 |
| 2 2 -6 | 1.225 | 77.99 | 19 |
| 2 2 3 | 1.467 | 63.42 | 18 |
| 7 1 -3 | 1.363 | 68.86 | 14 |
| 5 1 -6 | 1.344 | 69.98 | 13 |